# 1
Structure and theoretical X-ray powder pattern of Li2MnFeB2O6 (a crystal structure in the Materials Project, relaxed with GGA+U; Cu Kα (λ = 1.5418 Å)).
No peak broadening, texture or thermal motion is included.

Cell and atoms:
Cell: 5.192 5.256 10.947 Å, 92.03 101.36 119.58°
Fractional coordinates of all 24 atoms:
Li 0.069 0.213 0.089
Li 0.070 0.713 0.589
Li 0.930 0.287 0.411
Li 0.931 0.787 0.911
Mn 0.409 0.878 0.132
Mn 0.591 0.122 0.868
Fe 0.416 0.389 0.630
Fe 0.584 0.611 0.370
B 0.264 0.958 0.381
B 0.266 0.459 0.879
B 0.734 0.541 0.121
B 0.736 0.042 0.619
O 0.026 0.694 0.399
O 0.037 0.191 0.898
O 0.268 0.720 0.909
O 0.269 0.223 0.407
O 0.493 0.036 0.659
O 0.493 0.528 0.166
O 0.507 0.472 0.834
O 0.507 0.964 0.341
O 0.731 0.777 0.593
O 0.732 0.280 0.091
O 0.963 0.809 0.102
O 0.974 0.306 0.601

Most intense lines, 10 to 80 degrees two-theta, sorted by position:
| 2θ/deg | Rel. int. |
| --- | --- |
| 20.29 | 79 |
| 22.24 | 35 |
| 22.57 | 60 |
| 33.82 | 100 |
| 34.13 | 59 |
| 40.94 | 33 |

# 2
Structure and theoretical X-ray powder pattern of Li8Mn7FeB8O24 (a crystal structure in the Materials Project, relaxed with GGA+U; Cu Kα (λ = 1.5418 Å)).
No peak broadening, texture or thermal motion is included.

Cell and atoms:
Cell: 5.246 5.252 21.006 Å, 91.15 90.89 119.82°
Fractional coordinates of all 48 atoms:
Li 0.000 0.000 0.000
Li 0.000 0.000 0.500
Li 0.010 0.990 0.250
Li 0.013 0.990 0.750
Li 0.670 0.686 0.875
Li 0.670 0.688 0.375
Li 0.697 0.659 0.125
Li 0.697 0.659 0.625
Mn 0.024 0.336 0.643
Mn 0.026 0.335 0.142
Mn 0.344 0.667 0.518
Mn 0.345 0.015 0.392
Mn 0.345 0.668 0.017
Mn 0.348 0.017 0.892
Mn 0.677 0.335 0.267
Fe 0.673 0.338 0.768
B 0.007 0.341 0.396
B 0.007 0.342 0.895
B 0.342 0.670 0.771
B 0.344 0.673 0.271
B 0.351 0.997 0.146
B 0.351 0.998 0.647
B 0.683 0.333 0.021
B 0.683 0.334 0.521
O 0.076 0.967 0.153
O 0.076 0.969 0.654
O 0.094 0.407 0.752
O 0.101 0.408 0.250
O 0.278 0.592 0.411
O 0.278 0.593 0.911
O 0.310 0.916 0.286
O 0.322 0.920 0.785
O 0.381 0.760 0.626
O 0.382 0.759 0.125
O 0.418 0.091 0.000
O 0.418 0.091 0.500
O 0.601 0.269 0.662
O 0.602 0.268 0.161
O 0.615 0.687 0.777
O 0.618 0.697 0.278
O 0.707 0.607 0.529
O 0.708 0.607 0.028
O 0.769 0.372 0.376
O 0.770 0.372 0.875
O 0.926 0.301 0.036
O 0.926 0.301 0.537
O 0.977 0.067 0.403
O 0.978 0.067 0.903

Most intense lines, 10 to 80 degrees two-theta, sorted by position:
| 2θ/deg | Rel. int. |
| --- | --- |
| 19.53 | 35 |
| 21.32 | 20 |
| 21.52 | 31 |
| 25.51 | 25 |
| 34.16 | 100 |
| 40.29 | 25 |

# 3
Structure and theoretical X-ray powder pattern of Li8Mn7FeB8O24 (a crystal structure in the Materials Project, relaxed with GGA+U; Cu Kα (λ = 1.5418 Å)).
No peak broadening, texture or thermal motion is included.

Cell and atoms:
Cell: 5.258 9.113 10.522 Å, 88.39 88.99 89.75°
Fractional coordinates of all 48 atoms:
Li 0.000 0.000 0.000
Li 0.014 0.995 0.500
Li 0.325 0.344 0.251
Li 0.366 0.330 0.751
Li 0.498 0.501 0.001
Li 0.514 0.495 0.501
Li 0.824 0.844 0.252
Li 0.865 0.830 0.751
Mn 0.009 0.334 0.966
Mn 0.009 0.668 0.467
Mn 0.356 0.669 0.717
Mn 0.507 0.166 0.465
Mn 0.507 0.835 0.969
Mn 0.837 0.509 0.216
Mn 0.855 0.168 0.716
Fe 0.332 0.010 0.216
B 0.005 0.337 0.458
B 0.014 0.667 0.959
B 0.335 0.673 0.210
B 0.351 0.999 0.709
B 0.505 0.837 0.458
B 0.514 0.168 0.960
B 0.838 0.169 0.208
B 0.851 0.499 0.709
O 0.000 0.380 0.750
O 0.081 0.686 0.250
O 0.091 0.984 0.694
O 0.267 0.348 0.444
O 0.274 0.651 0.929
O 0.351 0.958 0.427
O 0.372 0.047 0.002
O 0.395 0.705 0.501
O 0.402 0.305 0.945
O 0.444 0.535 0.194
O 0.466 0.134 0.679
O 0.478 0.799 0.181
O 0.500 0.880 0.750
O 0.583 0.180 0.247
O 0.591 0.484 0.694
O 0.767 0.849 0.444
O 0.774 0.151 0.930
O 0.851 0.459 0.428
O 0.872 0.546 0.001
O 0.894 0.205 0.500
O 0.900 0.804 0.945
O 0.953 0.033 0.196
O 0.966 0.634 0.679
O 0.979 0.296 0.180

Most intense lines, 10 to 80 degrees two-theta, sorted by position:
| 2θ/deg | Rel. int. |
| --- | --- |
| 19.51 | 42 |
| 21.30 | 24 |
| 21.47 | 38 |
| 25.49 | 29 |
| 34.09 | 100 |
| 40.25 | 30 |

# 4
Structure and theoretical X-ray powder pattern of Li8MnFe7B8O24 (a crystal structure in the Materials Project, relaxed with GGA+U; Cu Kα (λ = 1.5418 Å)).
No peak broadening, texture or thermal motion is included.

Cell and atoms:
Cell: 5.224 8.167 11.960 Å, 102.85 90.58 90.42°
Fractional coordinates of all 48 atoms:
Li 0.000 0.000 0.000
Li 0.000 0.003 0.499
Li 0.196 0.940 0.294
Li 0.197 0.939 0.794
Li 0.495 0.499 0.750
Li 0.499 0.500 0.249
Li 0.698 0.437 0.543
Li 0.699 0.439 0.046
Mn 0.681 0.798 0.680
Fe 0.018 0.642 0.365
Fe 0.018 0.643 0.866
Fe 0.177 0.296 0.929
Fe 0.187 0.300 0.431
Fe 0.511 0.140 0.115
Fe 0.524 0.141 0.613
Fe 0.686 0.798 0.180
B 0.019 0.313 0.190
B 0.020 0.314 0.689
B 0.179 0.621 0.605
B 0.179 0.625 0.105
B 0.519 0.813 0.438
B 0.522 0.813 0.940
B 0.675 0.128 0.856
B 0.678 0.124 0.353
O 0.028 0.529 0.515
O 0.034 0.529 0.015
O 0.056 0.740 0.191
O 0.064 0.737 0.693
O 0.141 0.198 0.103
O 0.141 0.202 0.601
O 0.162 0.409 0.780
O 0.165 0.409 0.280
O 0.257 0.836 0.434
O 0.260 0.837 0.935
O 0.439 0.594 0.608
O 0.439 0.603 0.111
O 0.528 0.033 0.766
O 0.531 0.028 0.264
O 0.556 0.238 0.441
O 0.557 0.241 0.944
O 0.641 0.699 0.352
O 0.641 0.699 0.853
O 0.662 0.910 0.528
O 0.668 0.910 0.029
O 0.755 0.337 0.684
O 0.758 0.337 0.184
O 0.937 0.102 0.860
O 0.938 0.101 0.360

Most intense lines, 10 to 80 degrees two-theta, sorted by position:
| 2θ/deg | Rel. int. |
| --- | --- |
| 20.43 | 80 |
| 22.33 | 38 |
| 22.72 | 63 |
| 33.83 | 100 |
| 34.34 | 60 |
| 41.15 | 33 |

# 5
Structure and theoretical X-ray powder pattern of Li8Mn7FeB8O24 (a crystal structure in the Materials Project, relaxed with GGA+U; Cu Kα (λ = 1.5418 Å)).
No peak broadening, texture or thermal motion is included.

Cell and atoms:
Cell: 5.248 9.060 11.351 Å, 71.85 89.71 88.78°
Fractional coordinates of all 48 atoms:
Li 0.000 0.000 0.000
Li 0.001 0.499 0.500
Li 0.199 0.235 0.829
Li 0.199 0.734 0.328
Li 0.500 0.000 0.500
Li 0.500 0.500 0.001
Li 0.700 0.235 0.328
Li 0.700 0.735 0.829
Mn 0.017 0.315 0.049
Mn 0.017 0.815 0.547
Mn 0.183 0.920 0.781
Mn 0.515 0.314 0.547
Mn 0.517 0.815 0.047
Mn 0.683 0.420 0.782
Mn 0.683 0.921 0.281
Fe 0.186 0.421 0.282
B 0.019 0.153 0.532
B 0.020 0.652 0.034
B 0.180 0.582 0.795
B 0.181 0.084 0.296
B 0.519 0.153 0.033
B 0.519 0.652 0.532
B 0.678 0.581 0.294
B 0.680 0.082 0.795
O 0.030 0.719 0.751
O 0.033 0.221 0.253
O 0.064 0.439 0.827
O 0.064 0.940 0.326
O 0.136 0.297 0.501
O 0.136 0.796 0.002
O 0.169 0.017 0.577
O 0.169 0.516 0.079
O 0.260 0.143 0.016
O 0.260 0.643 0.515
O 0.439 0.592 0.813
O 0.440 0.092 0.313
O 0.530 0.219 0.751
O 0.532 0.719 0.252
O 0.557 0.438 0.323
O 0.564 0.939 0.827
O 0.635 0.796 0.502
O 0.636 0.296 0.002
O 0.669 0.016 0.077
O 0.669 0.516 0.577
O 0.760 0.143 0.515
O 0.761 0.642 0.016
O 0.938 0.586 0.311
O 0.939 0.092 0.813

Most intense lines, 10 to 80 degrees two-theta, sorted by position:
| 2θ/deg | Rel. int. |
| --- | --- |
| 20.36 | 78 |
| 22.05 | 34 |
| 22.52 | 60 |
| 33.22 | 100 |
| 33.97 | 33 |
| 40.67 | 55 |

# 6
Structure and theoretical X-ray powder pattern of Li8Mn7FeB8O24 (a crystal structure in the Materials Project, relaxed with GGA+U; Cu Kα (λ = 1.5418 Å)).
No peak broadening, texture or thermal motion is included.

Cell and atoms:
Cell: 5.240 6.076 16.323 Å, 82.35 88.85 89.24°
Fractional coordinates of all 48 atoms:
Li 0.000 0.000 0.000
Li 0.000 0.498 0.501
Li 0.195 0.375 0.031
Li 0.196 0.875 0.533
Li 0.500 0.248 0.251
Li 0.500 0.747 0.752
Li 0.697 0.124 0.783
Li 0.697 0.625 0.283
Mn 0.016 0.085 0.182
Mn 0.017 0.583 0.683
Mn 0.180 0.787 0.352
Mn 0.515 0.834 0.932
Mn 0.516 0.335 0.432
Mn 0.680 0.036 0.602
Mn 0.681 0.538 0.102
Fe 0.188 0.288 0.851
B 0.019 0.276 0.344
B 0.019 0.774 0.845
B 0.178 0.597 0.190
B 0.179 0.096 0.691
B 0.518 0.027 0.094
B 0.519 0.526 0.594
B 0.678 0.349 0.939
B 0.678 0.847 0.440
O 0.030 0.731 0.236
O 0.032 0.230 0.739
O 0.060 0.983 0.634
O 0.062 0.481 0.133
O 0.136 0.392 0.400
O 0.136 0.890 0.901
O 0.167 0.141 0.298
O 0.167 0.639 0.798
O 0.258 0.049 0.080
O 0.258 0.549 0.581
O 0.438 0.574 0.203
O 0.440 0.074 0.704
O 0.529 0.982 0.486
O 0.533 0.481 0.987
O 0.554 0.237 0.882
O 0.561 0.731 0.384
O 0.635 0.142 0.150
O 0.637 0.642 0.651
O 0.666 0.391 0.548
O 0.666 0.892 0.047
O 0.759 0.298 0.331
O 0.759 0.798 0.831
O 0.938 0.323 0.950
O 0.938 0.825 0.453

Most intense lines, 10 to 80 degrees two-theta, sorted by position:
| 2θ/deg | Rel. int. |
| --- | --- |
| 20.37 | 77 |
| 21.98 | 32 |
| 22.49 | 58 |
| 33.10 | 100 |
| 33.91 | 32 |
| 40.70 | 53 |

# 7
Structure and theoretical X-ray powder pattern of Li6MnFe5B6O18 (a crystal structure in the Materials Project, relaxed with GGA+U; Cu Kα (λ = 1.5418 Å)).
No peak broadening, texture or thermal motion is included.

Cell and atoms:
Cell: 8.253 3.137 14.260 Å, 90.00 90.06 90.00°
Fractional coordinates of all 36 atoms:
Li 0.000 0.000 0.000
Li 0.025 0.000 0.294
Li 0.072 0.000 0.659
Li 0.499 0.000 0.500
Li 0.524 0.000 0.793
Li 0.571 0.000 0.160
Mn 0.673 0.500 0.971
Fe 0.177 0.500 0.471
Fe 0.190 0.500 0.834
Fe 0.227 0.500 0.147
Fe 0.690 0.500 0.335
Fe 0.728 0.500 0.646
B 0.363 0.000 0.985
B 0.365 0.000 0.317
B 0.365 0.500 0.651
B 0.865 0.000 0.484
B 0.866 0.000 0.816
B 0.867 0.500 0.151
O 0.005 0.500 0.207
O 0.017 0.000 0.860
O 0.020 0.000 0.524
O 0.213 0.500 0.693
O 0.226 0.000 0.042
O 0.226 0.000 0.372
O 0.347 0.000 0.887
O 0.353 0.000 0.220
O 0.378 0.500 0.553
O 0.504 0.500 0.706
O 0.517 0.000 0.026
O 0.517 0.000 0.360
O 0.713 0.500 0.193
O 0.726 0.000 0.870
O 0.728 0.000 0.541
O 0.848 0.000 0.387
O 0.855 0.000 0.719
O 0.882 0.500 0.054

Most intense lines, 10 to 80 degrees two-theta, sorted by position:
| 2θ/deg | Rel. int. |
| --- | --- |
| 21.56 | 100 |
| 31.14 | 16 |
| 35.98 | 77 |
| 37.81 | 31 |
| 47.99 | 28 |
| 53.18 | 25 |